# 1
This entry pairs a crystal structure of Ca2Cd with its theoretical powder diffraction line list. Radiation: a wavelength of 1.5418 Å. Structure: a crystal structure in Alexandria, relaxed with PBE.
Neutral-atom scattering factors, no anomalous dispersion.

Most intense lines, 10° ≤ 2θ ≤ 90°, in order of rising 2θ:
2θ/deg  d/Å  I/Imax  index
18.14  4.890  12  1 1 0
22.19  4.007  47  2 0 1
25.48  3.495  19  0 0 2
31.46  2.844  75  1 1 2
31.69  2.823  100  3 1 0
41.10  2.196  32  3 1 2
45.26  2.003  26  4 0 2
56.31  1.634  26  4 2 2
62.50  1.486  25  3 1 4
80.59  1.192  12  6 0 4

Atomic structure:
```
data_Ca2Cd
_symmetry_space_group_name_H-M 'C 1 2/m 1'
_symmetry_Int_Tables_number 12
_cell_length_a 9.7903
_cell_length_b 5.6399
_cell_length_c 6.9908
_cell_angle_alpha 90.00
_cell_angle_beta 90.01
_cell_angle_gamma 90.00
loop_
_symmetry_equiv_pos_as_xyz
'x,y,z'
'-x,-y,-z'
'-x,y,-z'
'x,-y,z'
'x+1/2,y+1/2,z'
'-x+1/2,-y+1/2,-z'
'-x+1/2,y+1/2,-z'
'x+1/2,-y+1/2,z'
loop_
_atom_site_label
_atom_site_type_symbol
_atom_site_fract_x
_atom_site_fract_y
_atom_site_fract_z
Ca1 Ca 0.0000 0.0000 0.0000
Ca2 Ca 0.0000 0.0000 0.5000
Ca3 Ca 0.1674 0.5000 0.2495
Cd1 Cd 0.1656 0.5000 0.7495
```

# 2
This entry pairs a crystal structure of Ca2Cd with its theoretical powder diffraction line list. Radiation: a wavelength of 1.5418 Å. Structure: a crystal structure in Alexandria, relaxed with PBE.
Neutral-atom scattering factors, no anomalous dispersion.

Most intense lines, 10° ≤ 2θ ≤ 90°, in order of rising 2θ:
2θ/deg  d/Å  I/Imax  index
16.47  5.382  95  1 0 0
28.96  3.083  49  1 0 1
33.30  2.691  51  2 0 0
33.50  2.675  100  1 1 1
37.36  2.407  24  2 1 0
44.70  2.027  29  2 1 1
47.80  1.903  17  2 2 0
59.63  1.551  34  3 1 1
60.01  1.542  17  2 0 2
70.39  1.338  10  2 2 2

Atomic structure:
```
data_Ca2Cd
_symmetry_space_group_name_H-M 'P 4/m m m'
_symmetry_Int_Tables_number 123
_symmetry_space_group_name_Hall '-P 4 2'
_cell_length_a 5.3818
_cell_length_b 5.3818
_cell_length_c 3.7615
_cell_angle_alpha 90.00
_cell_angle_beta 90.00
_cell_angle_gamma 90.00
loop_
_atom_site_label
_atom_site_type_symbol
_atom_site_fract_x
_atom_site_fract_y
_atom_site_fract_z
Ca1 Ca 0.0000 0.5000 0.0000
Cd1 Cd 0.0000 0.0000 0.5000
```

# 3
This entry pairs a crystal structure of Ca3Cd8 with its theoretical powder diffraction line list. Radiation: a wavelength of 1.5418 Å. Structure: a crystal structure in Alexandria, relaxed with PBE.
Neutral-atom scattering factors, no anomalous dispersion.

Most intense lines, 10° ≤ 2θ ≤ 90°, in order of rising 2θ:
2θ/deg  d/Å  I/Imax  index
19.75  4.495  22  0 1 3
24.91  3.575  49  1 0 1
31.90  2.805  45  1 0 7
32.76  2.733  94  1 1 4
36.07  2.490  55  0 2 0
36.32  2.473  100  0 1 11
42.33  2.135  43  1 1 10
44.33  2.043  21  1 2 1
48.91  1.862  26  1 2 7
63.99  1.455  35  2 1 11

Atomic structure:
```
data_Ca3Cd8
_symmetry_space_group_name_H-M 'I m m m'
_symmetry_Int_Tables_number 71
_symmetry_space_group_name_Hall '-I 2 2'
_cell_length_a 3.5984
_cell_length_b 4.9798
_cell_length_c 31.3472
_cell_angle_alpha 90.00
_cell_angle_beta 90.00
_cell_angle_gamma 90.00
loop_
_atom_site_label
_atom_site_type_symbol
_atom_site_fract_x
_atom_site_fract_y
_atom_site_fract_z
Ca1 Ca 0.0000 0.0000 0.0000
Ca2 Ca 0.0000 0.5000 0.1398
Cd1 Cd 0.0000 0.0000 0.2653
Cd2 Cd 0.0000 0.0000 0.4536
Cd3 Cd 0.0000 0.5000 0.3156
Cd4 Cd 0.0000 0.5000 0.4074
```

# 4
This entry pairs a crystal structure of CaCd3 with its theoretical powder diffraction line list. Radiation: a wavelength of 1.5418 Å. Structure: a crystal structure in Alexandria, relaxed with PBE.
Neutral-atom scattering factors, no anomalous dispersion.

Most intense lines, 10° ≤ 2θ ≤ 90°, in order of rising 2θ:
2θ/deg  d/Å  I/Imax  index
17.17  5.163  50  2 0 -1
17.32  5.119  100  1 1 0
34.68  2.587  46  2 2 -1
35.01  2.563  98  3 1 1
35.10  2.557  75  3 1 -3
35.31  2.542  74  0 2 2
37.29  2.411  79  0 0 4
37.68  2.387  45  4 0 -3
37.92  2.373  88  2 2 1
41.05  2.199  52  2 2 -3

Atomic structure:
```
data_CaCd3
_symmetry_space_group_name_H-M 'C 1 2/m 1'
_symmetry_Int_Tables_number 12
_cell_length_a 10.5024
_cell_length_b 5.9832
_cell_length_c 10.2482
_cell_angle_alpha 90.00
_cell_angle_beta 109.75
_cell_angle_gamma 90.00
loop_
_symmetry_equiv_pos_as_xyz
'x,y,z'
'-x,-y,-z'
'-x,y,-z'
'x,-y,z'
'x+1/2,y+1/2,z'
'-x+1/2,-y+1/2,-z'
'-x+1/2,y+1/2,-z'
'x+1/2,-y+1/2,z'
loop_
_atom_site_label
_atom_site_type_symbol
_atom_site_fract_x
_atom_site_fract_y
_atom_site_fract_z
Ca1 Ca 0.0000 0.0000 0.0000
Ca2 Ca 0.1431 0.0000 0.4299
Cd1 Cd 0.0000 0.5000 0.5000
Cd2 Cd 0.0876 0.5000 0.2535
Cd3 Cd 0.1653 0.5000 0.9956
Cd4 Cd 0.1675 0.2447 0.7449
```

# 5
This entry pairs a crystal structure of CaCd2 with its theoretical powder diffraction line list. Radiation: a wavelength of 1.5418 Å. Structure: a crystal structure in Alexandria, relaxed with PBE.
Neutral-atom scattering factors, no anomalous dispersion.

Most intense lines, 10° ≤ 2θ ≤ 90°, in order of rising 2θ:
2θ/deg  d/Å  I/Imax  index
15.69  5.648  24  0 0 2
25.17  3.538  9  1 0 1
33.85  2.648  100  1 0 3
34.03  2.634  52  1 1 0
37.68  2.387  11  1 1 2
47.04  1.932  11  1 0 5
48.90  1.863  18  2 0 0
60.44  1.532  15  1 1 6
60.80  1.524  34  2 1 3
71.21  1.324  9  2 0 6

Atomic structure:
```
data_CaCd2
_symmetry_space_group_name_H-M 'I 4/m m m'
_symmetry_Int_Tables_number 139
_symmetry_space_group_name_Hall '-I 4 2'
_cell_length_a 3.7253
_cell_length_b 3.7253
_cell_length_c 11.2963
_cell_angle_alpha 90.00
_cell_angle_beta 90.00
_cell_angle_gamma 90.00
loop_
_atom_site_label
_atom_site_type_symbol
_atom_site_fract_x
_atom_site_fract_y
_atom_site_fract_z
Ca1 Ca 0.0000 0.0000 0.0000
Cd1 Cd 0.0000 0.0000 0.3201
```

# 6
This entry pairs a crystal structure of CaCd12 with its theoretical powder diffraction line list. Radiation: a wavelength of 1.5418 Å. Structure: a crystal structure in Alexandria, relaxed with PBE.
Neutral-atom scattering factors, no anomalous dispersion.

Most intense lines, 10° ≤ 2θ ≤ 90°, in order of rising 2θ:
2θ/deg  d/Å  I/Imax  index
17.60  5.040  21  2 0 0
30.52  2.929  36  3 0 1
34.89  2.571  73  2 0 2
35.45  2.532  87  3 2 1
35.63  2.520  59  4 0 0
39.34  2.290  100  2 2 2
39.84  2.263  48  4 1 1
40.00  2.254  57  4 2 0
63.52  1.465  30  6 0 2
73.65  1.286  25  4 0 4

Atomic structure:
```
data_CaCd12
_symmetry_space_group_name_H-M 'I 4/m m m'
_symmetry_Int_Tables_number 139
_symmetry_space_group_name_Hall '-I 4 2'
_cell_length_a 10.0795
_cell_length_b 10.0795
_cell_length_c 5.9797
_cell_angle_alpha 90.00
_cell_angle_beta 90.00
_cell_angle_gamma 90.00
loop_
_atom_site_label
_atom_site_type_symbol
_atom_site_fract_x
_atom_site_fract_y
_atom_site_fract_z
Ca1 Ca 0.0000 0.0000 0.0000
Cd1 Cd 0.0000 0.2130 0.5000
Cd2 Cd 0.0000 0.3523 0.0000
Cd3 Cd 0.2500 0.2500 0.2500
```

# 7
This entry pairs a crystal structure of CaCd2 with its theoretical powder diffraction line list. Radiation: a wavelength of 1.5418 Å. Structure: a crystal structure in Alexandria, relaxed with PBE.
Neutral-atom scattering factors, no anomalous dispersion.

Most intense lines, 10° ≤ 2θ ≤ 90°, in order of rising 2θ:
2θ/deg  d/Å  I/Imax  index
24.00  3.708  22  1 1 1
32.67  2.741  39  2 1 0
33.55  2.671  100  0 1 3
33.71  2.659  33  2 0 2
34.09  2.630  66  2 1 1
34.67  2.587  48  0 2 0
40.18  2.244  21  2 0 3
49.13  1.854  22  2 2 2
54.09  1.696  19  2 2 3
61.43  1.509  16  0 3 3

Atomic structure:
```
data_CaCd2
_symmetry_space_group_name_H-M 'P n m a'
_symmetry_Int_Tables_number 62
_cell_length_a 6.4629
_cell_length_b 5.1742
_cell_length_c 9.3582
_cell_angle_alpha 90.00
_cell_angle_beta 90.00
_cell_angle_gamma 90.00
loop_
_symmetry_equiv_pos_as_xyz
'x,y,z'
'-x,-y,-z'
'-x+1/2,-y,z+1/2'
'x+1/2,y,-z+1/2'
'x+1/2,-y+1/2,-z+1/2'
'-x+1/2,y+1/2,z+1/2'
'-x,y+1/2,-z'
'x,-y+1/2,z'
loop_
_atom_site_label
_atom_site_type_symbol
_atom_site_fract_x
_atom_site_fract_y
_atom_site_fract_z
Ca1 Ca 0.1822 0.2500 0.0838
Cd1 Cd 0.0254 0.2500 0.7320
Cd2 Cd 0.1756 0.2500 0.4169
```

# 8
This entry pairs a crystal structure of Ca2Cd17 with its theoretical powder diffraction line list. Radiation: a wavelength of 1.5418 Å. Structure: a crystal structure in Alexandria, relaxed with PBE.
Neutral-atom scattering factors, no anomalous dispersion.

Most intense lines, 10° ≤ 2θ ≤ 90°, in order of rising 2θ:
2θ/deg  d/Å  I/Imax  index
17.38  5.101  30  1 1 0
30.35  2.945  21  3 0 0
31.27  2.860  21  0 2 4
35.19  2.551  45  2 2 0
35.36  2.538  75  0 3 3
35.89  2.502  29  0 0 6
36.17  2.483  24  2 0 5
39.66  2.272  100  2 2 3
40.14  2.246  29  1 1 6
63.13  1.473  24  6 0 0

Atomic structure:
```
data_Ca2Cd17
_symmetry_space_group_name_H-M 'R -3 m'
_symmetry_Int_Tables_number 166
_symmetry_space_group_name_Hall '-R 3 2"'
_cell_length_a 10.2025
_cell_length_b 10.2025
_cell_length_c 15.0115
_cell_angle_alpha 90.00
_cell_angle_beta 90.00
_cell_angle_gamma 120.00
loop_
_atom_site_label
_atom_site_type_symbol
_atom_site_fract_x
_atom_site_fract_y
_atom_site_fract_z
Ca1 Ca 0.0000 0.0000 0.1639
Cd1 Cd 0.0000 0.0000 0.3966
Cd2 Cd 0.0000 0.3016 0.5000
Cd3 Cd 0.0000 0.5000 0.0000
Cd4 Cd 0.0134 0.5067 0.6484
```

# 9
This entry pairs a crystal structure of CaCd11 with its theoretical powder diffraction line list. Radiation: a wavelength of 1.5418 Å. Structure: a crystal structure in Alexandria, relaxed with PBE.
Neutral-atom scattering factors, no anomalous dispersion.

Most intense lines, 10° ≤ 2θ ≤ 90°, in order of rising 2θ:
2θ/deg  d/Å  I/Imax  index
13.53  6.546  19  1 0 1
14.68  6.033  19  2 0 0
29.04  3.075  16  3 2 1
32.86  2.726  58  3 1 2
33.21  2.698  42  4 2 0
35.35  2.539  20  1 0 3
38.47  2.340  36  2 1 3
39.08  2.305  100  5 0 1
40.68  2.218  30  4 2 2
59.11  1.563  20  5 5 2

Atomic structure:
```
data_CaCd11
_symmetry_space_group_name_H-M 'I 41/a m d'
_symmetry_Int_Tables_number 141
_cell_length_a 12.0657
_cell_length_b 12.0657
_cell_length_c 7.7917
_cell_angle_alpha 90.00
_cell_angle_beta 90.00
_cell_angle_gamma 90.00
loop_
_symmetry_equiv_pos_as_xyz
'x,y,z'
'-x,-y,-z'
'-y+1/4,x+3/4,z+1/4'
'y+1/4,-x+3/4,-z+1/4'
'-x+1/2,-y,z+1/2'
'x+1/2,y,-z+1/2'
'y+1/4,-x+1/4,z+3/4'
'-y+1/4,x+1/4,-z+3/4'
'x,-y,-z'
'-x,y,z'
'-y+1/4,-x+1/4,-z+3/4'
'y+1/4,x+1/4,z+3/4'
'-x+1/2,y,-z+1/2'
'x+1/2,-y,z+1/2'
'y+1/4,x+3/4,-z+1/4'
'-y+1/4,-x+3/4,z+1/4'
'x+1/2,y+1/2,z+1/2'
'-x+1/2,-y+1/2,-z+1/2'
'-y+3/4,x+1/4,z+3/4'
'y+3/4,-x+1/4,-z+3/4'
'-x,-y+1/2,z'
'x,y+1/2,-z'
'y+3/4,-x+3/4,z+1/4'
'-y+3/4,x+3/4,-z+1/4'
'x+1/2,-y+1/2,-z+1/2'
'-x+1/2,y+1/2,z+1/2'
'-y+3/4,-x+3/4,-z+1/4'
'y+3/4,x+3/4,z+1/4'
'-x,y+1/2,-z'
'x,-y+1/2,z'
'y+3/4,x+1/4,-z+3/4'
'-y+3/4,-x+1/4,z+3/4'
loop_
_atom_site_label
_atom_site_type_symbol
_atom_site_fract_x
_atom_site_fract_y
_atom_site_fract_z
Ca1 Ca 0.0000 0.2500 0.3750
Cd1 Cd 0.0000 0.0000 0.0000
Cd2 Cd 0.0000 0.2500 0.8750
Cd3 Cd 0.1205 0.0477 0.6713
```

# 10
This entry pairs a crystal structure of Ca5Cd3 with its theoretical powder diffraction line list. Radiation: a wavelength of 1.5418 Å. Structure: a crystal structure in Alexandria, relaxed with PBE.
Neutral-atom scattering factors, no anomalous dispersion.

Most intense lines, 10° ≤ 2θ ≤ 90°, in order of rising 2θ:
2θ/deg  d/Å  I/Imax  index
10.17  8.694  19  0 0 2
15.29  5.796  20  0 0 3
23.86  3.729  19  1 0 1
31.18  2.869  100  1 0 4
33.18  2.700  48  1 1 0
36.72  2.447  9  1 1 3
39.02  2.308  13  1 0 6
47.63  1.909  16  2 0 0
54.17  1.693  13  1 1 8
58.03  1.589  31  2 1 4

Atomic structure:
```
data_Ca5Cd3
_symmetry_space_group_name_H-M 'P 4/m m m'
_symmetry_Int_Tables_number 123
_symmetry_space_group_name_Hall '-P 4 2'
_cell_length_a 3.8182
_cell_length_b 3.8182
_cell_length_c 17.3883
_cell_angle_alpha 90.00
_cell_angle_beta 90.00
_cell_angle_gamma 90.00
loop_
_atom_site_label
_atom_site_type_symbol
_atom_site_fract_x
_atom_site_fract_y
_atom_site_fract_z
Ca1 Ca 0.0000 0.0000 0.0000
Ca2 Ca 0.0000 0.0000 0.2220
Ca3 Ca 0.5000 0.5000 0.3901
Cd1 Cd 0.0000 0.0000 0.5000
Cd2 Cd 0.5000 0.5000 0.1142
```

# 11
This entry pairs a crystal structure of CaCd8 with its theoretical powder diffraction line list. Radiation: a wavelength of 1.5418 Å. Structure: a crystal structure in Alexandria, relaxed with PBE.
Neutral-atom scattering factors, no anomalous dispersion.

Most intense lines, 10° ≤ 2θ ≤ 90°, in order of rising 2θ:
2θ/deg  d/Å  I/Imax  index
12.92  6.850  5  1 1 0
34.15  2.626  100  3 0 1
39.47  2.283  33  3 3 0
39.98  2.255  16  0 0 2
57.04  1.615  11  6 0 0
57.43  1.604  21  3 3 2
68.19  1.375  24  6 3 1
68.89  1.363  12  3 0 3
71.92  1.313  10  6 0 2
84.95  1.142  3  6 6 0

Atomic structure:
```
data_CaCd8
_symmetry_space_group_name_H-M 'I 4/m m m'
_symmetry_Int_Tables_number 139
_symmetry_space_group_name_Hall '-I 4 2'
_cell_length_a 9.6873
_cell_length_b 9.6873
_cell_length_c 4.5101
_cell_angle_alpha 90.00
_cell_angle_beta 90.00
_cell_angle_gamma 90.00
loop_
_atom_site_label
_atom_site_type_symbol
_atom_site_fract_x
_atom_site_fract_y
_atom_site_fract_z
Ca1 Ca 0.0000 0.0000 0.0000
Cd1 Cd 0.0000 0.3384 0.0000
Cd2 Cd 0.1719 0.1719 0.5000
```

# 12
This entry pairs a crystal structure of Ca3Cd2 with its theoretical powder diffraction line list. Radiation: a wavelength of 1.5418 Å. Structure: a crystal structure in Alexandria, relaxed with PBE.
Neutral-atom scattering factors, no anomalous dispersion.

Most intense lines, 10° ≤ 2θ ≤ 90°, in order of rising 2θ:
2θ/deg  d/Å  I/Imax  index
14.23  6.224  42  1 1 0
21.97  4.046  17  0 0 2
22.59  3.937  39  2 1 0
31.72  2.821  100  2 1 2
32.16  2.784  53  3 1 0
34.79  2.579  26  1 0 3
36.82  2.441  25  3 2 0
43.29  2.090  20  3 2 2
44.45  2.038  17  2 2 3
63.06  1.474  19  5 0 3

Atomic structure:
```
data_Ca3Cd2
_symmetry_space_group_name_H-M 'P 42/m n m'
_symmetry_Int_Tables_number 136
_symmetry_space_group_name_Hall '-P 4n 2n'
_cell_length_a 8.8023
_cell_length_b 8.8023
_cell_length_c 8.0912
_cell_angle_alpha 90.00
_cell_angle_beta 90.00
_cell_angle_gamma 90.00
loop_
_atom_site_label
_atom_site_type_symbol
_atom_site_fract_x
_atom_site_fract_y
_atom_site_fract_z
Ca1 Ca 0.0000 0.5000 0.2500
Ca2 Ca 0.1452 0.1452 0.0000
Ca3 Ca 0.1987 0.1987 0.5000
Cd1 Cd 0.1256 0.8744 0.3042
```